(1)
Structure and theoretical X-ray powder pattern of AlIrO6 (a structure optimized by DFT (PBE); copper Kα).
Intensities are scaled so that the largest is 100.

Top 8 peaks for 10° ≤ 2θ ≤ 80°, most intense first:
2θ (°), Rel. int.
21.70, 100.0
25.11, 61.9
42.25, 60.6
35.80, 43.0
56.55, 28.3
58.16, 22.8
51.53, 20.5
68.76, 17.9

Cell and atoms:
Unit cell a=5.0160 b=5.0160 c=5.0160 alpha=60.00 beta=60.00 gamma=60.00
Fractional positions:
Al1 0.0000 0.0000 0.0000
Ir1 0.2500 0.2500 0.2500
O1 0.5126 0.5126 0.9874
O2 0.5126 0.9874 0.5126
O3 0.5126 0.9874 0.9874
O4 0.9874 0.5126 0.5126
O5 0.9874 0.5126 0.9874
O6 0.9874 0.9874 0.5126

***

(2)
Structure and theoretical X-ray powder pattern of Cs3HgF6 (a structure optimized by DFT (PBE); copper Kα).
Intensities are scaled so that the largest is 100.

Top 8 peaks for 10° ≤ 2θ ≤ 80°, most intense first:
2θ (°), Rel. int.
26.59, 100.0
26.36, 68.3
37.51, 34.6
25.96, 32.5
46.66, 30.8
38.06, 17.9
47.09, 17.3
54.76, 15.3

Cell and atoms:
Unit cell a=6.7023 b=6.8651 c=11.5297 alpha=90.00 beta=124.88 gamma=90.00
Fractional positions:
Cs1 0.0000 0.0000 0.0000
Cs2 0.0000 0.5000 0.5000
Cs3 0.2621 0.0414 0.7504
Cs4 0.2621 0.4586 0.2504
Cs5 0.7379 0.5414 0.7496
Cs6 0.7379 0.9586 0.2496
Hg1 0.5000 0.0000 0.5000
Hg2 0.5000 0.5000 0.0000
F1 0.1881 0.0396 0.2803
F2 0.1881 0.4604 0.7803
F3 0.2799 0.6859 0.0413
F4 0.2799 0.8141 0.5413
F5 0.3783 0.2398 0.0583
F6 0.3783 0.2602 0.5583
F7 0.6217 0.7398 0.4417
F8 0.6217 0.7602 0.9417
F9 0.7201 0.1859 0.4587
F10 0.7201 0.3141 0.9587
F11 0.8119 0.5396 0.2197
F12 0.8119 0.9604 0.7197

***

(3)
Structure and theoretical X-ray powder pattern of PrSmI2BrN (a structure optimized by DFT (PBE); copper Kα).
Intensities are scaled so that the largest is 100.

Top 8 peaks for 10° ≤ 2θ ≤ 80°, most intense first:
2θ (°), Rel. int.
30.30, 100.0
28.93, 55.0
25.10, 49.8
38.75, 47.1
28.46, 45.9
26.29, 42.2
44.04, 38.0
32.97, 36.4

Cell and atoms:
Unit cell a=10.1394 b=10.1394 c=12.5726 alpha=124.53 beta=124.53 gamma=23.40
Fractional positions:
Pr1 0.1338 0.1338 0.2744
Pr2 0.8662 0.8662 0.7256
Sm1 0.4309 0.4309 0.0414
Sm2 0.5691 0.5691 0.9586
I1 0.2189 0.2189 0.1165
I2 0.3369 0.3369 0.4928
I3 0.6631 0.6631 0.5072
I4 0.7811 0.7811 0.8835
Br1 0.0326 0.0326 0.7622
Br2 0.9674 0.9674 0.2378
N1 0.4277 0.4277 0.8552
N2 0.5723 0.5723 0.1448

***

(4)
Structure and theoretical X-ray powder pattern of ScPIr (a structure optimized by DFT (PBE); copper Kα).
Intensities are scaled so that the largest is 100.

Top 8 peaks for 10° ≤ 2θ ≤ 80°, most intense first:
2θ (°), Rel. int.
36.33, 100.0
43.47, 64.5
49.54, 59.2
22.60, 53.0
28.06, 48.1
39.96, 40.2
16.09, 38.6
65.26, 38.5

Cell and atoms:
Unit cell a=6.3602 b=6.3602 c=3.9337 alpha=90.00 beta=90.00 gamma=120.00
Fractional positions:
Sc1 0.0000 0.5804 0.0000
Sc2 0.4196 0.4196 0.0000
Sc3 0.5804 0.0000 0.0000
P1 0.0000 0.0000 0.0000
P2 0.3333 0.6667 0.5000
P3 0.6667 0.3333 0.5000
Ir1 0.0000 0.2499 0.5000
Ir2 0.2499 0.0000 0.5000
Ir3 0.7501 0.7501 0.5000

***

(5)
Structure and theoretical X-ray powder pattern of Ag15Hg (a structure optimized by DFT (PBE); copper Kα).
Intensities are scaled so that the largest is 100.

Top 8 peaks for 10° ≤ 2θ ≤ 80°, most intense first:
2θ (°), Rel. int.
37.95, 100.0
37.00, 78.8
42.98, 51.0
63.69, 40.6
39.27, 28.6
44.63, 26.1
45.00, 19.3
75.99, 17.9

Cell and atoms:
Unit cell a=5.8453 b=4.0608 c=33.3587 alpha=90.00 beta=90.01 gamma=90.00
Fractional positions:
Ag1 0.1227 0.2500 0.2115
Ag2 0.1254 0.2500 0.3010
Ag3 0.1245 0.2500 0.3897
Ag4 0.1249 0.2500 0.4779
Ag5 0.1253 0.2500 0.5661
Ag6 0.1253 0.2500 0.6547
Ag7 0.1257 0.2500 0.7428
Ag8 0.1256 0.2500 0.8316
Ag9 0.3740 0.7500 0.7886
Ag10 0.3745 0.7500 0.2575
Ag11 0.3745 0.7500 0.3462
Ag12 0.3750 0.7500 0.4342
Ag13 0.3751 0.7500 0.5222
Ag14 0.3749 0.7500 0.6105
Ag15 0.3763 0.7500 0.6990
Ag16 0.6237 0.2500 0.3010
Ag17 0.6251 0.2500 0.3895
Ag18 0.6249 0.2500 0.4778
Ag19 0.6250 0.2500 0.5658
Ag20 0.6255 0.2500 0.6538
Ag21 0.6255 0.2500 0.7425
Ag22 0.6260 0.2500 0.2114
Ag23 0.8744 0.7500 0.1684
Ag24 0.8743 0.7500 0.2572
Ag25 0.8747 0.7500 0.3453
Ag26 0.8747 0.7500 0.4339
Ag27 0.8751 0.7500 0.5221
Ag28 0.8755 0.7500 0.6103
Ag29 0.8746 0.7500 0.6990
Ag30 0.8773 0.7500 0.7885
Hg1 0.3745 0.7500 0.1623
Hg2 0.6255 0.2500 0.8377

***

(6)
Structure and theoretical X-ray powder pattern of Dy2Ho2CI3Cl2 (a structure optimized by DFT (PBE); copper Kα).
Intensities are scaled so that the largest is 100.

Top 8 peaks for 10° ≤ 2θ ≤ 80°, most intense first:
2θ (°), Rel. int.
31.32, 100.0
10.62, 87.5
29.87, 40.2
42.85, 32.6
34.39, 31.2
44.80, 25.9
34.03, 22.4
46.84, 19.6

Cell and atoms:
Unit cell a=9.3117 b=9.3117 c=8.4556 alpha=99.59 beta=99.59 gamma=24.05
Fractional positions:
Dy1 0.0020 0.0020 0.3091
Dy2 0.9980 0.9980 0.6909
Ho1 0.3674 0.3674 0.4382
Ho2 0.6326 0.6326 0.5618
C1 0.5000 0.5000 0.5000
I1 0.1752 0.1752 0.3106
I2 0.5000 0.5000 0.0000
I3 0.8248 0.8248 0.6894
Cl1 0.1496 0.1496 0.7902
Cl2 0.8504 0.8504 0.2098

***

(7)
Structure and theoretical X-ray powder pattern of Dy2Si4IrPd (a structure optimized by DFT (PBE); copper Kα).
Intensities are scaled so that the largest is 100.

Top 8 peaks for 10° ≤ 2θ ≤ 80°, most intense first:
2θ (°), Rel. int.
34.56, 100.0
30.90, 83.3
30.14, 41.0
56.32, 28.5
43.00, 26.1
44.12, 24.2
21.26, 22.2
10.58, 19.7

Cell and atoms:
Unit cell a=4.2069 b=8.6071 c=8.6071 alpha=27.59 beta=90.00 gamma=90.00
Fractional positions:
Dy1 0.0000 0.0000 0.0000
Dy2 0.5000 0.2078 0.2078
Si1 0.0000 0.3553 0.3553
Si2 0.0000 0.6413 0.6413
Si3 0.5000 0.5717 0.5717
Si4 0.5000 0.8509 0.8509
Ir1 0.0000 0.7818 0.7818
Pd1 0.5000 0.4303 0.4303

***

(8)
Structure and theoretical X-ray powder pattern of CuAg (a structure optimized by DFT (PBE); copper Kα).
Intensities are scaled so that the largest is 100.

Top 8 peaks for 10° ≤ 2θ ≤ 80°, most intense first:
2θ (°), Rel. int.
40.02, 100.0
46.38, 42.6
40.15, 33.5
46.98, 20.7
68.08, 12.6
68.23, 12.5
67.80, 6.4
67.57, 6.2

Cell and atoms:
Unit cell a=4.7922 b=4.7922 c=4.7479 alpha=99.26 beta=99.26 gamma=120.43
Fractional positions:
Cu1 0.0000 0.0000 0.0000
Cu2 0.5038 0.4962 0.5000
Cu3 0.8422 0.1578 0.5000
Ag1 0.1634 0.8366 0.5000
Ag2 0.3442 0.6558 0.0000
Ag3 0.6734 0.3266 0.0000